For BeTl2VF6, a crystal structure in Alexandria, relaxed with PBE+U gives the simulated XRD peak list in this record (λ = 1.5418 Å (Cu Kα)).
Kinematic intensities with the Lorentz-polarization factor, no thermal factor.

Structure:
Lattice parameters (Å, degrees): 7.787 7.802 9.388 90.00 90.00 90.00
Space group Fmmm (No. 69)
One atom of each set of equivalent atoms:
Be1 0.000 0.000 0.000 (multiplicity 4)
Tl1 0.250 0.250 0.250 (multiplicity 8)
V1 0.000 0.000 0.500 (multiplicity 4)
F1 0.000 0.000 0.276 (multiplicity 8)
F2 0.000 0.218 0.000 (multiplicity 8)
F3 0.216 0.000 0.000 (multiplicity 8)

Principal peaks in the range 5 to 70 degrees two-theta, low angle first:
- 2θ 18.91, I = 36, (0 0 2)
- 2θ 22.82, I = 47, (0 2 0)
- 2θ 29.80, I = 100, (2 0 2)
- 2θ 32.49, I = 40, (2 2 0)
- 2θ 37.86, I = 61, (2 2 2)
- 2θ 38.35, I = 23, (0 0 4)
- 2θ 46.61, I = 25, (0 4 0)
- 2θ 51.12, I = 22, (2 2 4)
- 2θ 56.31, I = 33, (2 4 2)
- 2θ 61.89, I = 20, (0 4 4)